For Cs3ZrBi3, a cell relaxed with GGA-PBE gives the computed XRD peak list in this record (Cu Kα (weighted mean of Kα1 and Kα2)).
No peak broadening, texture or thermal motion is included.

Crystal structure
```
Cs3ZrBi3
1.0
5.525 -6.528 0.000
5.525 6.528 0.000
-1.292 0.000 10.390
Cs Zr Bi
6 2 6
direct
0.167 0.833 0.000
0.289 0.711 0.500
0.374 0.374 0.136
0.626 0.626 0.864
0.711 0.289 0.500
0.833 0.167 0.000
0.135 0.135 0.623
0.865 0.865 0.377
0.124 0.124 0.344
0.174 0.423 0.789
0.423 0.174 0.789
0.577 0.826 0.211
0.826 0.577 0.211
0.876 0.876 0.656
```

Most intense lines, 2θ = 10–80°, by angle:
two_theta, d_spacing, I_rel
12.91, 6.855, 37
22.05, 4.031, 25
23.97, 3.713, 100
25.03, 3.558, 32
25.74, 3.461, 62
26.90, 3.314, 51

***

For Er12Cu5Bi, a cell relaxed with GGA-PBE gives the computed XRD peak list in this record (Cu Kα (weighted mean of Kα1 and Kα2)).
No peak broadening, texture or thermal motion is included.

Crystal structure
```
Er12Cu5Bi
1.0
-4.670 4.764 5.106
4.670 -4.764 5.106
4.670 4.764 -5.106
Er Cu Bi
12 5 1
direct
0.030 0.224 0.807
0.179 0.279 0.458
0.179 0.721 0.901
0.317 0.009 0.692
0.317 0.625 0.308
0.417 0.224 0.193
0.583 0.776 0.807
0.683 0.375 0.692
0.683 0.991 0.308
0.821 0.279 0.099
0.821 0.721 0.542
0.970 0.776 0.193
0.000 0.000 0.000
0.119 0.619 0.500
0.356 0.000 0.356
0.644 0.000 0.644
0.881 0.381 0.500
0.500 0.500 0.000
```

Most intense lines, 2θ = 10–80°, by angle:
two_theta, d_spacing, I_rel
29.45, 3.032, 25
30.20, 2.959, 29
32.06, 2.792, 100
33.92, 2.643, 55
34.62, 2.591, 58
60.27, 1.535, 28

***

For Er3Cu3Bi4, a cell relaxed with GGA-PBE gives the computed XRD peak list in this record (Cu Kα (weighted mean of Kα1 and Kα2)).
No peak broadening, texture or thermal motion is included.

Crystal structure
```
Er3Cu3Bi4
1.0
-4.898 4.898 4.898
4.898 -4.898 4.898
4.898 4.898 -4.898
Er Cu Bi
6 6 8
direct
0.125 0.875 0.250
0.250 0.125 0.875
0.375 0.625 0.750
0.625 0.750 0.375
0.750 0.375 0.625
0.875 0.250 0.125
0.125 0.750 0.875
0.250 0.625 0.375
0.375 0.250 0.625
0.625 0.375 0.250
0.750 0.875 0.125
0.875 0.125 0.750
0.000 0.166 0.500
0.000 0.666 0.500
0.166 0.500 0.000
0.334 0.334 0.334
0.500 0.000 0.166
0.500 0.000 0.666
0.666 0.500 0.000
0.834 0.834 0.834
```

Most intense lines, 2θ = 10–80°, by angle:
two_theta, d_spacing, I_rel
28.82, 3.098, 58
34.25, 2.618, 100
41.21, 2.190, 20
45.35, 2.000, 22
47.32, 1.921, 16
58.04, 1.589, 18

***

For Sr2ErCu2Bi2O8, a cell relaxed with GGA-PBE gives the computed XRD peak list in this record (Cu Kα (weighted mean of Kα1 and Kα2)).
No peak broadening, texture or thermal motion is included.

Crystal structure
```
Sr2ErCu2Bi2O8
1.0
-1.892 1.892 15.342
1.892 -1.892 15.342
1.892 1.892 -15.342
Sr Er Cu Bi O
2 1 2 2 8
direct
0.114 0.114 0.000
0.886 0.886 0.000
0.000 0.000 0.000
0.449 0.449 0.000
0.551 0.551 0.000
0.297 0.297 0.000
0.703 0.703 0.000
0.047 0.547 0.500
0.200 0.200 0.000
0.367 0.367 0.000
0.453 0.953 0.500
0.547 0.047 0.500
0.633 0.633 0.000
0.800 0.800 0.000
0.953 0.453 0.500
```

Most intense lines, 2θ = 10–80°, by angle:
two_theta, d_spacing, I_rel
25.10, 3.548, 45
27.70, 3.221, 45
31.23, 2.864, 100
33.50, 2.675, 91
44.95, 2.016, 40
48.10, 1.892, 43